Computed PXRD pattern of Y3TcO7 for Cu Kα (weighted mean of Kα1 and Kα2), from a crystal structure in Alexandria, relaxed with PBE.
No peak broadening, texture or thermal motion is included.

Structure:
a = 7.5792 Å, b = 10.5343 Å, c = 7.4355 Å
α = 90.00°, β = 90.00°, γ = 90.00°
Space group C222_1 (No. 20)
Asymmetric unit:
Y: 0.0415 0.0000 0.0000 x4
Y: 0.2317 0.2689 0.7581 x8
Tc: 0.0023 0.5000 0.0000 x4
O: 0.0000 0.1297 0.2500 x4
O: 0.0000 0.1382 0.7500 x4
O: 0.0000 0.4296 0.7500 x4
O: 0.1752 0.3714 0.0408 x8
O: 0.2035 0.3773 0.4763 x8

Top 12 peaks for 2θ from 10° to 80°, in order of rising 2θ:
- d 3.076, 2θ 29.03, I = 100.0
- d 3.037, 2θ 29.41, I = 97.2
- d 2.654, 2θ 33.77, I = 35.0
- d 2.634, 2θ 34.04, I = 15.8
- d 1.895, 2θ 48.02, I = 11.9
- d 1.869, 2θ 48.71, I = 59.3
- d 1.859, 2θ 49.00, I = 18.1
- d 1.608, 2θ 57.31, I = 19.7
- d 1.592, 2θ 57.94, I = 36.3
- d 1.588, 2θ 58.10, I = 11.5
- d 1.519, 2θ 61.01, I = 7.3
- d 1.210, 2θ 79.19, I = 7.8